No. 1
This entry pairs a crystal structure of Ni7Pd with its theoretical X-ray powder pattern. Radiation: Cu Kα (weighted mean of Kα1 and Kα2). Structure: a structure optimized by DFT (PBE).
No peak broadening, texture or thermal motion is included.

Structure:
a b c (Å): 5.0845 5.0845 4.1381
angles (deg): 90.00 90.00 120.00
Atoms (fractional coordinates):
Ni: 0.0000 0.0000 0.0000
Ni: 0.0103 0.5051 0.0000
Ni: 0.1665 0.3330 0.5000
Ni: 0.1665 0.8335 0.5000
Ni: 0.4949 0.5051 0.0000
Ni: 0.4949 0.9897 0.0000
Ni: 0.6670 0.8335 0.5000
Pd: 0.6667 0.3333 0.5000

Most intense lines, 15° ≤ 2θ ≤ 90°, low angle first:
two_theta	I (rel.)
20.2	3
29.6	4
41.0	25
41.7	1
43.8	27
46.7	100
61.5	14
74.7	15
82.5	17
88.9	2

No. 2
This entry pairs a crystal structure of NiPd5 with its theoretical X-ray powder pattern. Radiation: Cu Kα (weighted mean of Kα1 and Kα2). Structure: a structure optimized by DFT (PBE).
No peak broadening, texture or thermal motion is included.

Structure:
a b c (Å): 2.7717 2.7717 11.5319
angles (deg): 90.00 90.00 90.00
Atoms (fractional coordinates):
Ni: 0.0000 0.0000 0.0000
Pd: 0.0000 0.0000 0.3255
Pd: 0.0000 0.0000 0.6745
Pd: 0.5000 0.5000 0.1499
Pd: 0.5000 0.5000 0.5000
Pd: 0.5000 0.5000 0.8501

Most intense lines, 15° ≤ 2θ ≤ 90°, low angle first:
two_theta	I (rel.)
36.0	4
40.1	100
46.3	34
47.3	14
67.6	11
68.4	17
74.1	4
81.6	24
83.0	8
86.6	9

No. 3
This entry pairs a crystal structure of NiPd4 with its theoretical X-ray powder pattern. Radiation: Cu Kα (weighted mean of Kα1 and Kα2). Structure: a structure optimized by DFT (PBE).
No peak broadening, texture or thermal motion is included.

Structure:
a b c (Å): 11.2017 11.2017 11.2017
angles (deg): 14.18 14.18 14.18
Atoms (fractional coordinates):
Ni: 0.0000 0.0000 0.0000
Pd: 0.2016 0.2016 0.2016
Pd: 0.3952 0.3952 0.3952
Pd: 0.6048 0.6048 0.6048
Pd: 0.7984 0.7984 0.7984

Most intense lines, 15° ≤ 2θ ≤ 90°, low angle first:
two_theta	I (rel.)
32.3	4
40.0	100
40.7	29
46.7	61
67.8	20
68.7	16
81.7	12
82.1	21
83.0	9
86.3	10

No. 4
This entry pairs a crystal structure of Ni5Pd7 with its theoretical X-ray powder pattern. Radiation: Cu Kα (weighted mean of Kα1 and Kα2). Structure: a structure optimized by DFT (PBE).
No peak broadening, texture or thermal motion is included.

Structure:
a b c (Å): 6.9896 6.9896 10.9063
angles (deg): 125.71 125.71 22.64
Atoms (fractional coordinates):
Ni: 0.0000 0.0000 0.0000
Ni: 0.0035 0.0035 0.2660
Ni: 0.3301 0.3301 0.5001
Ni: 0.6699 0.6699 0.4999
Ni: 0.9965 0.9965 0.7340
Pd: 0.0000 0.0000 0.5000
Pd: 0.3285 0.3285 0.2478
Pd: 0.3445 0.3445 0.7481
Pd: 0.3490 0.3490 0.0149
Pd: 0.6510 0.6510 0.9851
Pd: 0.6555 0.6555 0.2519
Pd: 0.6715 0.6715 0.7522

Most intense lines, 15° ≤ 2θ ≤ 90°, low angle first:
two_theta	I (rel.)
41.1	100
41.2	96
47.0	68
49.7	26
68.4	11
70.7	17
70.8	16
83.1	23
83.4	11
87.2	13

No. 5
This entry pairs a crystal structure of NiPd5 with its theoretical X-ray powder pattern. Radiation: Cu Kα (weighted mean of Kα1 and Kα2). Structure: a structure optimized by DFT (PBE).
No peak broadening, texture or thermal motion is included.

Structure:
a b c (Å): 4.7602 4.7602 5.3034
angles (deg): 116.40 116.40 60.04
Atoms (fractional coordinates):
Ni: 0.0000 0.0000 0.0000
Pd: 0.1626 0.5006 0.5002
Pd: 0.3342 0.3340 0.0022
Pd: 0.4994 0.8374 0.4998
Pd: 0.6660 0.6658 0.9978
Pd: 0.8367 0.1633 0.5000

Most intense lines, 15° ≤ 2θ ≤ 90°, low angle first:
two_theta	I (rel.)
37.8	36
39.6	42
42.8	100
43.0	49
68.2	24
73.9	9
74.1	9
74.3	9
81.7	14
82.0	10

No. 6
This entry pairs a crystal structure of Ni6Pd with its theoretical X-ray powder pattern. Radiation: Cu Kα (weighted mean of Kα1 and Kα2). Structure: a structure optimized by DFT (PBE).
No peak broadening, texture or thermal motion is included.

Structure:
a b c (Å): 4.7844 6.6451 10.5844
angles (deg): 89.98 80.79 90.00
Atoms (fractional coordinates):
Ni: 0.0250 0.2494 0.4242
Ni: 0.0906 0.1750 0.9750
Ni: 0.0952 0.7547 0.2228
Ni: 0.1069 0.5166 0.8887
Ni: 0.2038 0.4477 0.6253
Ni: 0.2159 0.0813 0.5925
Ni: 0.2835 0.5824 0.4069
Ni: 0.2974 0.9492 0.3736
Ni: 0.3932 0.0165 0.1112
Ni: 0.4044 0.2547 0.7774
Ni: 0.4091 0.6749 0.0251
Ni: 0.4750 0.7484 0.5756
Ni: 0.5250 0.2516 0.4244
Ni: 0.5909 0.3251 0.9749
Ni: 0.5956 0.7453 0.2226
Ni: 0.6068 0.9835 0.8888
Ni: 0.7026 0.0508 0.6264
Ni: 0.7165 0.4176 0.5931
Ni: 0.7841 0.9187 0.4075
Ni: 0.7962 0.5523 0.3747
Ni: 0.8931 0.4834 0.1113
Ni: 0.9048 0.2453 0.7772
Ni: 0.9094 0.8250 0.0250
Ni: 0.9750 0.7506 0.5758
Pd: 0.1583 0.8750 0.7938
Pd: 0.3418 0.3748 0.2061
Pd: 0.6582 0.6252 0.7939
Pd: 0.8417 0.1250 0.2062

Most intense lines, 15° ≤ 2θ ≤ 90°, low angle first:
two_theta	I (rel.)
35.8	29
37.7	23
43.3	41
44.1	51
44.4	89
44.9	63
45.5	35
46.7	100
46.9	40
48.7	42